[1]
Ba2In2Hg7: calculated powder XRD pattern (λ = 1.5418 Å (Cu Kα)), based on a cell relaxed with GGA-PBE.
Peak positions follow from Bragg's law for the DFT cell and can differ from measured ones.

Structure:
```
data_Ba2In2Hg7
_cell_length_a 10.140
_cell_length_b 11.339
_cell_length_c 5.917
_cell_angle_alpha 90.00
_cell_angle_beta 101.67
_cell_angle_gamma 90.00
_space_group_name_H-M_alt 'C 1 2/m 1'
_space_group_IT_number 12
loop_
_space_group_symop_operation_xyz
'x,y,z'
'-x,-y,-z'
'-x,y,-z'
'x,-y,z'
'x+1/2,y+1/2,z'
'-x+1/2,-y+1/2,-z'
'-x+1/2,y+1/2,-z'
'x+1/2,-y+1/2,z'
loop_
_atom_site_label
_atom_site_type_symbol
_atom_site_fract_x
_atom_site_fract_y
_atom_site_fract_z
Ba1 Ba 0.229 0.000 0.128
In1 In 0.000 0.274 0.000
Hg1 Hg 0.000 0.000 0.500
Hg2 Hg 0.079 0.500 0.309
Hg3 Hg 0.178 0.205 0.675
```

The 8 most intense peaks (10° ≤ 2θ ≤ 80°), by angle:
2θ 28.6, I = 18, hkl 1 3 -1
2θ 29.3, I = 18, hkl 3 1 -1
2θ 30.4, I = 100, hkl 2 2 1
2θ 31.4, I = 27, hkl 1 1 -2
2θ 31.6, I = 30, hkl 0 4 0
2θ 36.2, I = 23, hkl 2 2 -2
2θ 36.4, I = 17, hkl 4 0 -1
2θ 37.1, I = 24, hkl 3 3 -1

[2]
Ba3In2Hg9: calculated powder XRD pattern (λ = 1.5418 Å (Cu Kα)), based on a cell relaxed with GGA-PBE.
Peak positions follow from Bragg's law for the DFT cell and can differ from measured ones.

Structure:
```
data_Ba3In2Hg9
_cell_length_a 5.345
_cell_length_b 10.134
_cell_length_c 15.398
_cell_angle_alpha 90.00
_cell_angle_beta 90.00
_cell_angle_gamma 90.00
_space_group_name_H-M_alt 'I m m m'
_space_group_IT_number 71
_space_group_name_Hall '-I 2 2'
loop_
_atom_site_label
_atom_site_type_symbol
_atom_site_fract_x
_atom_site_fract_y
_atom_site_fract_z
Ba1 Ba 0.000 0.000 0.000
Ba2 Ba 0.000 0.000 0.287
In1 In 0.000 0.170 0.500
Hg1 Hg 0.000 0.289 0.143
Hg2 Hg 0.000 0.356 0.346
Hg3 Hg 0.000 0.500 0.000
```

The 8 most intense peaks (10° ≤ 2θ ≤ 80°), by angle:
2θ 29.1, I = 40, hkl 0 2 4
2θ 29.9, I = 99, hkl 1 2 3
2θ 31.3, I = 39, hkl 1 3 0
2θ 33.5, I = 100, hkl 2 0 0
2θ 35.0, I = 29, hkl 0 0 6
2θ 39.3, I = 42, hkl 1 3 4
2θ 39.8, I = 31, hkl 1 4 1
2θ 58.2, I = 28, hkl 1 4 7

[3]
BaInHg5: calculated powder XRD pattern (λ = 1.5418 Å (Cu Kα)), based on a cell relaxed with GGA-PBE.
Peak positions follow from Bragg's law for the DFT cell and can differ from measured ones.

Structure:
```
data_BaInHg5
_cell_length_a 6.265
_cell_length_b 9.787
_cell_length_c 7.336
_cell_angle_alpha 90.00
_cell_angle_beta 90.00
_cell_angle_gamma 90.00
_space_group_name_H-M_alt 'C m m m'
_space_group_IT_number 65
_space_group_name_Hall '-C 2 2'
loop_
_atom_site_label
_atom_site_type_symbol
_atom_site_fract_x
_atom_site_fract_y
_atom_site_fract_z
Ba1 Ba 0.000 0.000 0.000
In1 In 0.000 0.500 0.500
Hg1 Hg 0.000 0.000 0.500
Hg2 Hg 0.250 0.250 0.271
```

The 8 most intense peaks (10° ≤ 2θ ≤ 80°), by angle:
2θ 12.1, I = 23, hkl 0 0 1
2θ 30.5, I = 100, hkl 0 2 2
2θ 34.0, I = 79, hkl 2 2 0
2θ 36.7, I = 32, hkl 0 4 0
2θ 37.8, I = 57, hkl 2 0 2
2θ 53.7, I = 41, hkl 2 4 2
2θ 61.6, I = 24, hkl 2 2 4
2θ 67.8, I = 21, hkl 4 2 2

[4]
Ba6In5Hg: calculated powder XRD pattern (λ = 1.5418 Å (Cu Kα)), based on a cell relaxed with GGA-PBE.
Peak positions follow from Bragg's law for the DFT cell and can differ from measured ones.

Structure:
```
data_Ba6In5Hg
_cell_length_a 5.999
_cell_length_b 18.047
_cell_length_c 8.626
_cell_angle_alpha 90.00
_cell_angle_beta 90.00
_cell_angle_gamma 90.00
_space_group_name_H-M_alt 'C m m m'
_space_group_IT_number 65
_space_group_name_Hall '-C 2 2'
loop_
_atom_site_label
_atom_site_type_symbol
_atom_site_fract_x
_atom_site_fract_y
_atom_site_fract_z
Ba1 Ba 0.000 0.000 0.247
Ba2 Ba 0.000 0.335 0.251
In1 In 0.000 0.167 0.500
In2 In 0.000 0.173 0.000
In3 In 0.000 0.500 0.500
Hg1 Hg 0.000 0.500 0.000
```

The 8 most intense peaks (10° ≤ 2θ ≤ 80°), by angle:
2θ 29.5, I = 100, hkl 1 3 2
2θ 29.7, I = 49, hkl 2 0 0
2θ 42.6, I = 18, hkl 2 6 0
2θ 52.2, I = 20, hkl 2 0 4
2θ 52.6, I = 19, hkl 1 9 2
2θ 52.7, I = 19, hkl 3 3 2
2θ 61.3, I = 12, hkl 2 6 4
2θ 69.9, I = 12, hkl 3 9 2

[5]
BaIn2HgIr: calculated powder XRD pattern (λ = 1.5418 Å (Cu Kα)), based on a cell relaxed with GGA-PBE.
Peak positions follow from Bragg's law for the DFT cell and can differ from measured ones.

Structure:
```
data_BaIn2HgIr
_cell_length_a 5.217
_cell_length_b 5.217
_cell_length_c 6.060
_cell_angle_alpha 90.00
_cell_angle_beta 90.00
_cell_angle_gamma 90.00
_space_group_name_H-M_alt 'P 4/m m m'
_space_group_IT_number 123
_space_group_name_Hall '-P 4 2'
loop_
_atom_site_label
_atom_site_type_symbol
_atom_site_fract_x
_atom_site_fract_y
_atom_site_fract_z
Ba1 Ba 0.000 0.000 0.000
In1 In 0.000 0.500 0.500
Hg1 Hg 0.500 0.500 0.000
Ir1 Ir 0.000 0.000 0.500
```

The 8 most intense peaks (10° ≤ 2θ ≤ 80°), by angle:
2θ 22.5, I = 66, hkl 1 0 1
2θ 24.1, I = 35, hkl 1 1 0
2θ 28.3, I = 83, hkl 1 1 1
2θ 29.5, I = 75, hkl 0 0 2
2θ 34.4, I = 100, hkl 2 0 0
2θ 45.9, I = 89, hkl 2 0 2
2θ 49.4, I = 36, hkl 2 2 0
2θ 58.6, I = 43, hkl 2 2 2

[6]
BaLi2In2Hg2: calculated powder XRD pattern (λ = 1.5418 Å (Cu Kα)), based on a cell relaxed with GGA-PBE.
Peak positions follow from Bragg's law for the DFT cell and can differ from measured ones.

Structure:
```
data_BaLi2In2Hg2
_cell_length_a 4.8371
_cell_length_b 4.8371
_cell_length_c 27.7698
_cell_angle_alpha 90.00
_cell_angle_beta 90.00
_cell_angle_gamma 120.00
_space_group_name_H-M_alt 'R -3 m'
_space_group_IT_number 166
_space_group_name_Hall '-R 3 2"'
loop_
_atom_site_label
_atom_site_type_symbol
_atom_site_fract_x
_atom_site_fract_y
_atom_site_fract_z
Ba1 Ba 0.0000 0.0000 0.0000
Li1 Li 0.0000 0.0000 0.1421
In1 In 0.0000 0.0000 0.2501
Hg1 Hg 0.0000 0.0000 0.4453
```

The 8 most intense peaks (10° ≤ 2θ ≤ 80°), by angle:
2θ 21.5, I = 37, hkl 1 0 1
2θ 22.2, I = 25, hkl 0 1 2
2θ 24.8, I = 89, hkl 1 0 4
2θ 28.9, I = 30, hkl 0 0 9
2θ 31.0, I = 52, hkl 1 0 7
2θ 37.2, I = 100, hkl 1 1 0
2θ 38.9, I = 37, hkl 1 0 10
2θ 47.8, I = 50, hkl 1 1 9

[7]
BaMg2InHg4: calculated powder XRD pattern (λ = 1.5418 Å (Cu Kα)), based on a cell relaxed with GGA-PBE.
Peak positions follow from Bragg's law for the DFT cell and can differ from measured ones.

Structure:
```
data_BaMg2InHg4
_cell_length_a 4.9064
_cell_length_b 4.9064
_cell_length_c 31.7097
_cell_angle_alpha 90.00
_cell_angle_beta 90.00
_cell_angle_gamma 120.00
_space_group_name_H-M_alt 'R -3 m'
_space_group_IT_number 166
_space_group_name_Hall '-R 3 2"'
loop_
_atom_site_label
_atom_site_type_symbol
_atom_site_fract_x
_atom_site_fract_y
_atom_site_fract_z
Ba1 Ba 0.0000 0.0000 0.0000
Mg1 Mg 0.0000 0.0000 0.2335
In1 In 0.0000 0.0000 0.5000
Hg1 Hg 0.0000 0.0000 0.1229
Hg2 Hg 0.0000 0.0000 0.3976
```

The 8 most intense peaks (10° ≤ 2θ ≤ 80°), by angle:
2θ 21.7, I = 32, hkl 0 1 2
2θ 23.8, I = 47, hkl 1 0 4
2θ 30.9, I = 94, hkl 0 1 8
2θ 35.3, I = 41, hkl 1 0 10
2θ 36.6, I = 100, hkl 1 1 0
2θ 37.7, I = 26, hkl 0 1 11
2θ 48.6, I = 27, hkl 2 0 8
2θ 62.4, I = 25, hkl 1 2 8

[8]
BaNaIn2Hg4: calculated powder XRD pattern (λ = 1.5418 Å (Cu Kα)), based on a cell relaxed with GGA-PBE.
Peak positions follow from Bragg's law for the DFT cell and can differ from measured ones.

Structure:
```
data_BaNaIn2Hg4
_cell_length_a 5.2429
_cell_length_b 5.2429
_cell_length_c 28.1118
_cell_angle_alpha 90.00
_cell_angle_beta 90.00
_cell_angle_gamma 120.00
_space_group_name_H-M_alt 'R -3 m'
_space_group_IT_number 166
_space_group_name_Hall '-R 3 2"'
loop_
_atom_site_label
_atom_site_type_symbol
_atom_site_fract_x
_atom_site_fract_y
_atom_site_fract_z
Ba1 Ba 0.0000 0.0000 0.0000
Na1 Na 0.0000 0.0000 0.5000
In1 In 0.0000 0.0000 0.2444
Hg1 Hg 0.0000 0.0000 0.1318
Hg2 Hg 0.0000 0.0000 0.3912
```

The 8 most intense peaks (10° ≤ 2θ ≤ 80°), by angle:
2θ 23.3, I = 25, hkl 1 0 4
2θ 25.2, I = 15, hkl 0 1 5
2θ 29.7, I = 14, hkl 1 0 7
2θ 32.2, I = 88, hkl 0 1 8
2θ 34.2, I = 100, hkl 1 1 0
2θ 47.7, I = 30, hkl 2 0 8
2θ 60.0, I = 30, hkl 1 2 8
2θ 61.2, I = 19, hkl 3 0 0

[9]
Ba3InHg2O6: calculated powder XRD pattern (λ = 1.5418 Å (Cu Kα)), based on a cell relaxed with GGA-PBE.
Peak positions follow from Bragg's law for the DFT cell and can differ from measured ones.

Structure:
```
data_Ba3InHg2O6
_cell_length_a 6.2638
_cell_length_b 6.2638
_cell_length_c 6.9325
_cell_angle_alpha 90.00
_cell_angle_beta 90.00
_cell_angle_gamma 120.00
_space_group_name_H-M_alt 'P -3 m 1'
_space_group_IT_number 164
_space_group_name_Hall '-P 3 2"'
loop_
_atom_site_label
_atom_site_type_symbol
_atom_site_fract_x
_atom_site_fract_y
_atom_site_fract_z
Ba1 Ba 0.0000 0.0000 0.0000
Ba2 Ba 0.3333 0.6667 0.6156
In1 In 0.0000 0.0000 0.5000
Hg1 Hg 0.3333 0.6667 0.1291
O1 O 0.1626 0.3251 0.3154
```

The 8 most intense peaks (10° ≤ 2θ ≤ 80°), by angle:
2θ 28.5, I = 100, hkl 1 1 0
2θ 30.6, I = 77, hkl 0 1 2
2θ 42.3, I = 43, hkl 2 0 2
2θ 50.5, I = 21, hkl 3 0 0
2θ 51.8, I = 36, hkl 1 2 2
2θ 55.7, I = 13, hkl 0 1 4
2θ 59.0, I = 17, hkl 2 2 0
2θ 67.9, I = 16, hkl 3 1 2

[10]
Ba2InHg6Sb: calculated powder XRD pattern (λ = 1.5418 Å (Cu Kα)), based on a cell relaxed with GGA-PBE.
Peak positions follow from Bragg's law for the DFT cell and can differ from measured ones.

Structure:
```
data_Ba2InHg6Sb
_cell_length_a 6.032
_cell_length_b 10.085
_cell_length_c 10.792
_cell_angle_alpha 90.00
_cell_angle_beta 90.00
_cell_angle_gamma 90.00
_space_group_name_H-M_alt 'P m m n'
_space_group_IT_number 59
loop_
_space_group_symop_operation_xyz
'x,y,z'
'-x,-y,-z'
'-x+1/2,-y+1/2,z'
'x+1/2,y+1/2,-z'
'x+1/2,-y,-z'
'-x+1/2,y,z'
'-x,y+1/2,-z'
'x,-y+1/2,z'
loop_
_atom_site_label
_atom_site_type_symbol
_atom_site_fract_x
_atom_site_fract_y
_atom_site_fract_z
Ba1 Ba 0.250 0.017 0.237
In1 In 0.250 0.250 0.752
Hg1 Hg 0.002 0.750 0.506
Hg2 Hg 0.003 0.750 0.022
Hg3 Hg 0.250 0.000 0.595
Sb1 Sb 0.250 0.750 0.786
```

The 8 most intense peaks (10° ≤ 2θ ≤ 80°), by angle:
2θ 24.2, I = 39, hkl 0 2 2
2θ 28.4, I = 26, hkl 1 2 2
2θ 34.0, I = 100, hkl 2 0 2
2θ 34.7, I = 52, hkl 2 2 0
2θ 35.6, I = 54, hkl 0 4 0
2θ 37.8, I = 27, hkl 0 2 4
2θ 38.6, I = 43, hkl 2 2 2
2θ 50.1, I = 30, hkl 2 4 2

[11]
BaIn2SnHg: calculated powder XRD pattern (λ = 1.5418 Å (Cu Kα)), based on a cell relaxed with GGA-PBE.
Peak positions follow from Bragg's law for the DFT cell and can differ from measured ones.

Structure:
```
data_BaIn2SnHg
_cell_length_a 5.007
_cell_length_b 5.078
_cell_length_c 12.167
_cell_angle_alpha 90.00
_cell_angle_beta 90.00
_cell_angle_gamma 90.00
_space_group_name_H-M_alt 'I m m 2'
_space_group_IT_number 44
loop_
_space_group_symop_operation_xyz
'x,y,z'
'-x,-y,z'
'-x,y,z'
'x,-y,z'
'x+1/2,y+1/2,z+1/2'
'-x+1/2,-y+1/2,z+1/2'
'-x+1/2,y+1/2,z+1/2'
'x+1/2,-y+1/2,z+1/2'
loop_
_atom_site_label
_atom_site_type_symbol
_atom_site_fract_x
_atom_site_fract_y
_atom_site_fract_z
Ba1 Ba 0.000 0.000 0.000
In1 In 0.000 0.000 0.381
In2 In 0.000 0.500 0.246
Sn1 Sn 0.000 0.500 0.745
Hg1 Hg 0.000 0.000 0.612
```

The 8 most intense peaks (10° ≤ 2θ ≤ 80°), by angle:
2θ 28.2, I = 31, hkl 0 1 3
2θ 28.3, I = 32, hkl 1 0 3
2θ 29.0, I = 100, hkl 1 1 2
2θ 35.4, I = 41, hkl 0 2 0
2θ 35.9, I = 39, hkl 2 0 0
2θ 38.9, I = 48, hkl 1 1 4
2θ 41.1, I = 20, hkl 0 1 5
2θ 51.2, I = 28, hkl 2 2 0

[12]
BaInHg2Te4: calculated powder XRD pattern (λ = 1.5418 Å (Cu Kα)), based on a cell relaxed with GGA-PBE.
Peak positions follow from Bragg's law for the DFT cell and can differ from measured ones.

Structure:
```
data_BaInHg2Te4
_cell_length_a 8.088
_cell_length_b 8.230
_cell_length_c 8.822
_cell_angle_alpha 90.00
_cell_angle_beta 90.00
_cell_angle_gamma 90.00
_space_group_name_H-M_alt 'I 2 2 2'
_space_group_IT_number 23
loop_
_space_group_symop_operation_xyz
'x,y,z'
'-x,-y,z'
'x,-y,-z'
'-x,y,-z'
'x+1/2,y+1/2,z+1/2'
'-x+1/2,-y+1/2,z+1/2'
'x+1/2,-y+1/2,-z+1/2'
'-x+1/2,y+1/2,-z+1/2'
loop_
_atom_site_label
_atom_site_type_symbol
_atom_site_fract_x
_atom_site_fract_y
_atom_site_fract_z
Ba1 Ba 0.000 0.000 0.000
In1 In 0.000 0.000 0.500
Hg1 Hg 0.000 0.500 0.243
Te1 Te 0.206 0.203 0.320
```

The 8 most intense peaks (10° ≤ 2θ ≤ 80°), by angle:
2θ 20.1, I = 18, hkl 0 0 2
2θ 25.4, I = 100, hkl 1 1 2
2θ 26.3, I = 12, hkl 1 2 1
2θ 31.0, I = 59, hkl 2 2 0
2θ 40.3, I = 33, hkl 1 3 2
2θ 40.7, I = 32, hkl 3 1 2
2θ 44.0, I = 18, hkl 0 4 0
2θ 46.7, I = 16, hkl 0 2 4